The following is a simulated powder diffractogram of AcSe2O5. It was derived from a DFT-relaxed cell (GGA-PBE, Alexandria), using copper Kα.
Lines closer than 0.1° are merged.

Main lines, in order of rising 2θ (10 to 90 degrees two-theta):
- 15.31 deg, rel. 44, (1 1 0)
- 18.79 deg, rel. 56, (1 1 1)
- 26.48 deg, rel. 27, (2 0 0)
- 26.71 deg, rel. 100, (1 1 2)
- 26.90 deg, rel. 28, (0 2 2)
- 27.07 deg, rel. 39, (1 3 0)
- 29.23 deg, rel. 56, (1 3 1)
- 43.14 deg, rel. 36, (2 4 1)

Cell: 6.733 11.331 8.172 Å, 90.00 90.00 90.00°
Space group Pbcn (No. 60)
One atom of each set of equivalent atoms:
Ac 0.000 0.055 0.250
Se 0.095 0.358 0.042
O 0.000 0.427 0.250
O 0.167 0.226 0.124
O 0.177 0.066 0.527